The following is a simulated X-ray diffraction stick pattern of SrAc2Lu. It was derived from a cell relaxed with GGA-PBE, using λ = 1.5418 Å (Cu Kα).
Intensities are scaled so that the largest is 100.

Structural model:
Unit cell a=4.023 b=4.023 c=10.541 alpha=90.00 beta=90.00 gamma=90.00
Sites, in units of the cell vectors:
Sr (0.000, 0.000, 0.000)
Ac (0.500, 0.500, 0.283)
Ac (0.500, 0.500, 0.717)
Lu (0.000, 0.000, 0.500)

Largest 12 diffraction maxima, low angle first, 2θ = 10–90°:
27.90 deg, I = 100, (1 0 2); 31.45 deg, I = 41, (1 1 0); 33.87 deg, I = 16, (1 0 3); 34.02 deg, I = 11, (0 0 4); 45.07 deg, I = 15, (2 0 0); 47.00 deg, I = 17, (1 1 4); 53.84 deg, I = 33, (2 1 2); 54.15 deg, I = 8, (1 1 5); 57.61 deg, I = 17, (2 0 4); 74.59 deg, I = 7, (3 1 0); 76.01 deg, I = 7, (2 2 4); 89.85 deg, I = 8, (3 2 2)